Diffraction record for BiCl2F4. The powder X-ray diffraction pattern is calculated, not measured: it uses a cell relaxed with PBE and Cu Kα (λ = 1.5418 Å).
No peak broadening, texture or thermal motion is included.

Cell and atoms:
```
data_BiCl2F4
_space_group_name_H-M_alt 'P 1'
_space_group_IT_number 1
_space_group_name_Hall 'P 1'
_cell_length_a 3.8362
_cell_length_b 3.9460
_cell_length_c 9.5428
_cell_angle_alpha 91.22
_cell_angle_beta 92.83
_cell_angle_gamma 90.01
loop_
_atom_site_label
_atom_site_fract_x
_atom_site_fract_y
_atom_site_fract_z
Bi1 0.0000 0.0000 0.0000
Cl1 0.0019 0.4967 0.6043
Cl2 0.9981 0.5033 0.3957
F1 0.0138 0.5072 0.1307
F2 0.4847 0.9921 0.8675
F3 0.5153 0.0079 0.1325
F4 0.9862 0.4928 0.8693
```

Largest 12 diffraction maxima, by intensity, 5 to 70 degrees two-theta:
d (Å)	two_theta	I (rel.)
9.529	9.28	100.0
3.618	24.61	26.7
3.832	23.21	26.7
4.765	18.62	26.6
3.673	24.23	21.2
3.061	29.18	9.8
2.504	35.86	9.6
2.916	30.66	8.5
2.059	43.99	8.2
1.756	52.09	7.1
3.071	29.08	6.8
1.973	46.01	6.7

=====

Diffraction record for BiCl3F. The powder X-ray diffraction pattern is calculated, not measured: it uses a cell relaxed with PBE and Cu Kα (λ = 1.5418 Å).
No peak broadening, texture or thermal motion is included.

Cell and atoms:
```
data_BiCl3F
_space_group_name_H-M_alt 'P 1'
_space_group_IT_number 1
_space_group_name_Hall 'P 1'
_cell_length_a 7.4343
_cell_length_b 6.6497
_cell_length_c 6.1344
_cell_angle_alpha 90.00
_cell_angle_beta 90.00
_cell_angle_gamma 90.00
loop_
_atom_site_label
_atom_site_fract_x
_atom_site_fract_y
_atom_site_fract_z
Bi1 0.0000 0.0113 0.0000
Bi2 0.5000 0.9887 0.5000
Cl1 0.0000 0.3381 0.2216
Cl2 0.2442 0.8144 0.2463
Cl3 0.2558 0.1856 0.7463
Cl4 0.5000 0.6619 0.7216
Cl5 0.7442 0.1856 0.7463
Cl6 0.7558 0.8144 0.2463
F1 0.0000 0.7672 0.7861
F2 0.5000 0.2328 0.2861
```

Largest 12 diffraction maxima, by intensity, 5 to 70 degrees two-theta:
d (Å)	two_theta	I (rel.)
3.855	23.07	100.0
6.650	13.31	99.3
4.732	18.75	93.6
2.720	32.93	38.8
2.229	40.47	35.5
1.890	48.14	30.2
2.254	39.99	23.9
2.172	41.58	22.4
3.245	27.49	19.9
2.785	32.14	19.9
3.717	23.94	19.8
2.007	45.17	18.7

=====

Diffraction record for BiClF. The powder X-ray diffraction pattern is calculated, not measured: it uses a cell relaxed with PBE and Cu Kα (λ = 1.5418 Å).
No peak broadening, texture or thermal motion is included.

Cell and atoms:
```
data_BiClF
_space_group_name_H-M_alt 'P 1'
_space_group_IT_number 1
_space_group_name_Hall 'P 1'
_cell_length_a 4.2019
_cell_length_b 5.2237
_cell_length_c 7.6298
_cell_angle_alpha 103.01
_cell_angle_beta 90.26
_cell_angle_gamma 113.67
loop_
_atom_site_label
_atom_site_fract_x
_atom_site_fract_y
_atom_site_fract_z
Bi1 0.0772 0.1569 0.3389
Bi2 0.9228 0.8431 0.6611
Cl1 0.3868 0.7777 0.1857
Cl2 0.6132 0.2223 0.8143
F1 0.3043 0.6075 0.5795
F2 0.6957 0.3925 0.4205
```

Largest 12 diffraction maxima, by intensity, 5 to 70 degrees two-theta:
d (Å)	two_theta	I (rel.)
7.392	11.97	100.0
3.265	27.32	94.4
3.318	26.87	82.7
3.827	23.24	75.4
2.228	40.48	48.6
2.516	35.69	44.2
3.551	25.08	38.8
4.635	19.15	30.3
2.101	43.05	24.7
1.777	51.43	24.6
1.742	52.55	18.9
3.696	24.08	18.3

=====

Diffraction record for K6BiH3Cl8F4. The powder X-ray diffraction pattern is calculated, not measured: it uses a cell relaxed with PBE and Cu Kα (λ = 1.5418 Å).
No peak broadening, texture or thermal motion is included.

Cell and atoms:
```
data_K6BiH3Cl8F4
_space_group_name_H-M_alt 'P 1'
_space_group_IT_number 1
_space_group_name_Hall 'P 1'
_cell_length_a 9.2305
_cell_length_b 9.2305
_cell_length_c 14.8760
_cell_angle_alpha 90.00
_cell_angle_beta 90.00
_cell_angle_gamma 120.00
loop_
_atom_site_label
_atom_site_fract_x
_atom_site_fract_y
_atom_site_fract_z
K1 0.0000 0.5000 0.0000
K2 0.0000 0.5000 0.5000
K3 0.1789 0.3579 0.2503
K4 0.1789 0.8211 0.2503
K5 0.3579 0.1789 0.7503
K6 0.5000 0.0000 0.0000
K7 0.5000 0.0000 0.5000
K8 0.5000 0.5000 0.0000
K9 0.5000 0.5000 0.5000
K10 0.6421 0.8211 0.2503
K11 0.8211 0.1789 0.7503
K12 0.8211 0.6421 0.7503
Bi1 0.0000 0.0000 0.0004
Bi2 0.0000 0.0000 0.5004
H1 0.1603 0.5801 0.7514
H2 0.4199 0.5801 0.7514
H3 0.4199 0.8397 0.7514
H4 0.5801 0.1603 0.2514
H5 0.5801 0.4199 0.2514
H6 0.8397 0.4199 0.2514
Cl1 0.1401 0.2802 0.6061
Cl2 0.1399 0.2798 0.8946
Cl3 0.1401 0.8599 0.6061
Cl4 0.1399 0.8601 0.8946
Cl5 0.2802 0.1401 0.1061
Cl6 0.2798 0.1399 0.3946
Cl7 0.3333 0.6667 0.1069
Cl8 0.3333 0.6667 0.3937
Cl9 0.6667 0.3333 0.6069
Cl10 0.6667 0.3333 0.8937
Cl11 0.7198 0.8599 0.6061
Cl12 0.7202 0.8601 0.8946
Cl13 0.8599 0.1401 0.1061
Cl14 0.8601 0.1399 0.3946
Cl15 0.8599 0.7198 0.1061
Cl16 0.8601 0.7202 0.3946
F1 0.0339 0.5170 0.7517
F2 0.3333 0.6667 0.7511
F3 0.4830 0.5170 0.7517
F4 0.4830 0.9661 0.7517
F5 0.5170 0.0339 0.2517
F6 0.5170 0.4830 0.2517
F7 0.6667 0.3333 0.2511
F8 0.9661 0.4830 0.2517
```

Largest 12 diffraction maxima, by intensity, 5 to 70 degrees two-theta:
d (Å)	two_theta	I (rel.)
5.445	16.28	100.0
7.994	11.07	98.1
3.521	25.30	89.3
2.723	32.90	88.8
3.112	28.69	78.4
2.308	39.03	76.9
3.922	22.67	49.2
2.107	42.93	39.8
2.345	38.38	39.0
7.438	11.90	29.6
1.448	64.34	23.8
3.997	22.24	20.9

=====

Diffraction record for K2BiClF6. The powder X-ray diffraction pattern is calculated, not measured: it uses a cell relaxed with PBE and Cu Kα (λ = 1.5418 Å).
No peak broadening, texture or thermal motion is included.

Cell and atoms:
```
data_K2BiClF6
_space_group_name_H-M_alt 'P 1'
_space_group_IT_number 1
_space_group_name_Hall 'P 1'
_cell_length_a 5.7420
_cell_length_b 6.1393
_cell_length_c 7.2137
_cell_angle_alpha 110.61
_cell_angle_beta 105.46
_cell_angle_gamma 101.76
loop_
_atom_site_label
_atom_site_fract_x
_atom_site_fract_y
_atom_site_fract_z
K1 0.0000 0.0000 0.0000
K2 0.4992 0.8648 0.4267
Bi1 0.2196 0.4482 0.6885
Cl1 0.7465 0.4517 0.1434
F1 0.0129 0.5996 0.4010
F2 0.2153 0.1460 0.4070
F3 0.3132 0.7369 0.0169
F4 0.4596 0.2793 0.8647
F5 0.5914 0.6520 0.6975
F6 0.9342 0.1672 0.7121
```

Largest 12 diffraction maxima, by intensity, 5 to 70 degrees two-theta:
d (Å)	two_theta	I (rel.)
3.435	25.94	100.0
5.421	16.35	92.3
3.740	23.79	80.3
6.275	14.11	70.7
3.639	24.46	65.7
5.225	16.97	54.3
4.596	19.31	44.6
5.031	17.63	40.3
2.848	31.41	35.5
3.781	23.53	28.0
2.092	43.24	25.9
2.711	33.05	24.2

=====

Diffraction record for Fe3BiCl12. The powder X-ray diffraction pattern is calculated, not measured: it uses a cell relaxed with PBE and Cu Kα (λ = 1.5418 Å).
No peak broadening, texture or thermal motion is included.

Cell and atoms:
```
data_Fe3BiCl12
_space_group_name_H-M_alt 'P 1'
_space_group_IT_number 1
_space_group_name_Hall 'P 1'
_cell_length_a 13.4140
_cell_length_b 13.4140
_cell_length_c 7.1325
_cell_angle_alpha 90.00
_cell_angle_beta 90.00
_cell_angle_gamma 120.00
loop_
_atom_site_label
_atom_site_fract_x
_atom_site_fract_y
_atom_site_fract_z
Fe1 0.1221 0.4253 0.2500
Fe2 0.3032 0.8779 0.2500
Fe3 0.4253 0.3032 0.7500
Fe4 0.5747 0.6968 0.2500
Fe5 0.6968 0.1221 0.7500
Fe6 0.8779 0.5747 0.7500
Bi1 0.3333 0.6667 0.7500
Bi2 0.6667 0.3333 0.2500
Cl1 0.0108 0.4983 0.2500
Cl2 0.0338 0.2412 0.2500
Cl3 0.2074 0.9662 0.2500
Cl4 0.2394 0.7596 0.5078
Cl5 0.2394 0.7596 0.9922
Cl6 0.2404 0.4798 0.5078
Cl7 0.2404 0.4798 0.9922
Cl8 0.2412 0.2074 0.7500
Cl9 0.4798 0.2394 0.0078
Cl10 0.4798 0.2394 0.4922
Cl11 0.4875 0.9892 0.2500
Cl12 0.4983 0.4875 0.7500
Cl13 0.5017 0.5125 0.2500
Cl14 0.5125 0.0108 0.7500
Cl15 0.5202 0.7606 0.5078
Cl16 0.5202 0.7606 0.9922
Cl17 0.7588 0.7926 0.2500
Cl18 0.7596 0.5202 0.0078
Cl19 0.7596 0.5202 0.4922
Cl20 0.7606 0.2404 0.0078
Cl21 0.7606 0.2404 0.4922
Cl22 0.7926 0.0338 0.7500
Cl23 0.9662 0.7588 0.7500
Cl24 0.9892 0.5017 0.7500
```

Largest 12 diffraction maxima, by intensity, 5 to 70 degrees two-theta:
d (Å)	two_theta	I (rel.)
11.617	7.61	100.0
4.504	19.71	54.2
3.739	23.80	41.7
2.768	32.34	26.2
4.886	18.16	23.5
2.066	43.82	21.5
6.707	13.20	18.1
3.222	27.69	16.1
2.496	35.97	14.1
6.078	14.57	13.0
2.443	36.79	13.0
2.623	34.18	12.2

=====

Diffraction record for Fe2BiCl. The powder X-ray diffraction pattern is calculated, not measured: it uses a cell relaxed with PBE and Cu Kα (λ = 1.5418 Å).
No peak broadening, texture or thermal motion is included.

Cell and atoms:
```
data_Fe2BiCl
_space_group_name_H-M_alt 'P 1'
_space_group_IT_number 1
_space_group_name_Hall 'P 1'
_cell_length_a 7.7174
_cell_length_b 7.7174
_cell_length_c 7.7174
_cell_angle_alpha 144.72
_cell_angle_beta 144.72
_cell_angle_gamma 50.76
loop_
_atom_site_label
_atom_site_fract_x
_atom_site_fract_y
_atom_site_fract_z
Fe1 0.3750 0.2323 0.3573
Fe2 0.7677 0.1250 0.1427
Fe3 0.8750 0.0177 0.6427
Fe4 0.9823 0.6250 0.8573
Bi1 0.2500 0.7500 0.5000
Bi2 0.5000 0.5000 0.0000
Cl1 0.0000 0.0000 0.0000
Cl2 0.7500 0.2500 0.5000
```

Largest 12 diffraction maxima, by intensity, 5 to 70 degrees two-theta:
d (Å)	two_theta	I (rel.)
2.988	29.90	100.0
3.297	27.04	55.0
1.942	46.77	37.5
2.069	43.76	35.0
1.902	47.83	27.2
2.396	37.55	23.9
1.447	64.39	20.8
4.435	20.02	19.6
2.339	38.49	15.3
1.494	62.12	13.9
1.443	64.60	11.0
1.743	52.50	10.2